No. 1
Theoretical powder XRD pattern of Re3C for Cu Ka, from a crystal structure in the Materials Project, relaxed with GGA-PBE.
No peak broadening, texture or thermal motion is included.

Structural model:
```
data_Re3C
_chemical_formula_sum 'Re12 C4'
_space_group_name_H-M_alt 'F m -3 m'
_space_group_IT_number 225
_space_group_name_Hall '-F 4 2 3'
_cell_length_a 6.022
_cell_length_b 6.022
_cell_length_c 6.022
_cell_angle_alpha 90.00
_cell_angle_beta 90.00
_cell_angle_gamma 90.00
loop_
_atom_site_label
_atom_site_fract_x
_atom_site_fract_y
_atom_site_fract_z
Re1 0.000 0.000 0.000
Re2 0.250 0.250 0.250
C1 0.000 0.000 0.500
```

Top 10 peaks for 2θ = 10–90°, by angle:
2theta, intensity, h k l
25.62, 236, 1 1 1
29.67, 123, 2 0 0
42.45, 1000, 2 2 0
50.25, 120, 3 1 1
52.65, 35, 2 2 2
61.60, 167, 4 0 0
67.83, 50, 3 3 1
69.85, 46, 4 2 0
77.67, 345, 4 2 2
83.39, 39, 5 1 1


No. 2
Theoretical powder XRD pattern of Re2C for Cu Ka, from a crystal structure in the Materials Project, relaxed with GGA-PBE.
No peak broadening, texture or thermal motion is included.

Structural model:
```
data_Re2C
_chemical_formula_sum 'Re4 C2'
_space_group_name_H-M_alt 'P 63/m m c'
_space_group_IT_number 194
_space_group_name_Hall '-P 6c 2c'
_cell_length_a 2.8660
_cell_length_b 2.8660
_cell_length_c 9.9151
_cell_angle_alpha 90.00
_cell_angle_beta 90.00
_cell_angle_gamma 120.00
loop_
_atom_site_label
_atom_site_fract_x
_atom_site_fract_y
_atom_site_fract_z
Re1 0.3333 0.6667 0.1084
C1 0.3333 0.6667 0.7500
```

Top 12 peaks for 2θ = 10–90°, by angle:
2theta, intensity, h k l
17.89, 85, 0 0 2
36.22, 798, 0 0 4
37.35, 757, 1 0 1
45.71, 1000, 1 0 3
52.15, 215, 1 0 4
55.62, 55, 0 0 6
65.09, 292, 1 1 0
68.16, 62, 1 0 6
76.83, 326, 1 1 4
77.58, 340, 1 0 7
83.14, 180, 2 0 3
88.04, 82, 2 0 4


No. 3
Theoretical powder XRD pattern of ReC for Cu Ka, from a crystal structure in the Materials Project, relaxed with GGA-PBE.
No peak broadening, texture or thermal motion is included.

Structural model:
```
data_ReC
_chemical_formula_sum 'Re4 C4'
_space_group_name_H-M_alt 'F m -3 m'
_space_group_IT_number 225
_space_group_name_Hall '-F 4 2 3'
_cell_length_a 4.363
_cell_length_b 4.363
_cell_length_c 4.363
_cell_angle_alpha 90.00
_cell_angle_beta 90.00
_cell_angle_gamma 90.00
loop_
_atom_site_label
_atom_site_fract_x
_atom_site_fract_y
_atom_site_fract_z
Re1 0.000 0.000 0.000
C1 0.000 0.000 0.500
```

Top 6 peaks for 2θ = 10–90°, by angle:
2theta, intensity, h k l
35.65, 1000, 1 1 1
41.39, 622, 2 0 0
59.98, 416, 2 2 0
71.76, 414, 3 1 1
75.49, 141, 2 2 2
89.96, 72, 4 0 0


No. 4
Theoretical powder XRD pattern of ReC for Cu Ka, from a crystal structure in the Materials Project, relaxed with GGA-PBE.
No peak broadening, texture or thermal motion is included.

Structural model:
```
data_ReC
_chemical_formula_sum 'Re4 C4'
_space_group_name_H-M_alt 'F -4 3 m'
_space_group_IT_number 216
_space_group_name_Hall 'F -4 2 3'
_cell_length_a 4.649
_cell_length_b 4.649
_cell_length_c 4.649
_cell_angle_alpha 90.00
_cell_angle_beta 90.00
_cell_angle_gamma 90.00
loop_
_atom_site_label
_atom_site_fract_x
_atom_site_fract_y
_atom_site_fract_z
Re1 0.000 0.000 0.000
C1 0.250 0.250 0.750
```

Top 6 peaks for 2θ = 10–90°, by angle:
2theta, intensity, h k l
33.38, 1000, 1 1 1
38.73, 447, 2 0 0
55.94, 382, 2 2 0
66.72, 414, 3 1 1
70.11, 110, 2 2 2
83.09, 62, 4 0 0